PaCo3B3: theoretical XRD peak list (a wavelength of 1.5418 Å), based on a GGA-PBE-relaxed structure.
Peak positions follow from Bragg's law for the DFT cell and can differ from measured ones.

Largest 8 diffraction maxima, sorted by position, 15° ≤ 2θ ≤ 90°:
d [Å], intensity
4.416, 53
4.122, 30
2.433, 100
2.407, 21
2.210, 30
2.061, 28
2.053, 50
1.688, 20

Cell and atoms:
```
data_PaCo3B3
_cell_length_a 7.2847
_cell_length_b 7.2847
_cell_length_c 7.2847
_cell_angle_alpha 42.08
_cell_angle_beta 42.08
_cell_angle_gamma 42.08
_space_group_name_H-M_alt 'P 1'
_space_group_IT_number 1
loop_
_space_group_symop_operation_xyz
'x,y,z'
loop_
_atom_site_label
_atom_site_type_symbol
_atom_site_fract_x
_atom_site_fract_y
_atom_site_fract_z
_atom_site_occupancy
Pa1 Pa 0.1635 0.1635 0.1635 1
Pa2 Pa 0.8365 0.8365 0.8365 1
Co1 Co 0.0597 0.6091 0.1938 1
Co2 Co 0.1938 0.0597 0.6091 1
Co3 Co 0.3909 0.8062 0.9403 1
Co4 Co 0.6091 0.1938 0.0597 1
Co5 Co 0.8062 0.9403 0.3909 1
Co6 Co 0.9403 0.3909 0.8062 1
B1 B 0.2147 0.5998 0.3999 1
B2 B 0.3999 0.2147 0.5998 1
B3 B 0.4002 0.6001 0.7853 1
B4 B 0.5998 0.3999 0.2147 1
B5 B 0.6001 0.7853 0.4002 1
B6 B 0.7853 0.4002 0.6001 1
```

=====

Ba3La5Tl2Cu4O18: theoretical XRD peak list (a wavelength of 1.5418 Å), based on a GGA-PBE-relaxed structure.
Peak positions follow from Bragg's law for the DFT cell and can differ from measured ones.

Largest 8 diffraction maxima, sorted by position, 15° ≤ 2θ ≤ 90°:
d [Å], intensity
3.620, 22
2.935, 100
2.724, 64
2.066, 21
1.926, 30
1.742, 15
1.679, 13
1.610, 35

Cell and atoms:
```
data_Ba3La5Tl2Cu4O18
_cell_length_a 5.4483
_cell_length_b 16.0871
_cell_length_c 16.0871
_cell_angle_alpha 19.50
_cell_angle_beta 90.00
_cell_angle_gamma 90.00
_space_group_name_H-M_alt 'P 1'
_space_group_IT_number 1
loop_
_space_group_symop_operation_xyz
'x,y,z'
loop_
_atom_site_label
_atom_site_type_symbol
_atom_site_fract_x
_atom_site_fract_y
_atom_site_fract_z
_atom_site_occupancy
Ba1 Ba 0.0000 0.9995 0.9995 1
Ba2 Ba 0.0000 0.1669 0.1669 1
Ba3 Ba 0.5000 0.5000 0.5000 1
La1 La 0.0000 0.2853 0.2853 1
La2 La 0.0000 0.8782 0.8782 1
La3 La 0.5000 0.3781 0.3781 1
La4 La 0.5000 0.6710 0.6710 1
La5 La 0.5000 0.7865 0.7865 1
Tl1 Tl 0.0000 0.5862 0.5862 1
Tl2 Tl 0.5000 0.0861 0.0861 1
Cu1 Cu 0.0000 0.4323 0.4323 1
Cu2 Cu 0.0000 0.7305 0.7305 1
Cu3 Cu 0.5000 0.2305 0.2305 1
Cu4 Cu 0.5000 0.9319 0.9319 1
O1 O 0.0000 0.0843 0.0843 1
O2 O 0.0000 0.3576 0.3576 1
O3 O 0.0000 0.5203 0.5203 1
O4 O 0.0000 0.6531 0.6531 1
O5 O 0.0000 0.8032 0.8032 1
O6 O 0.2504 0.1818 0.6792 1
O7 O 0.2504 0.6792 0.1818 1
O8 O 0.2572 0.4879 0.9733 1
O9 O 0.2572 0.9733 0.4879 1
O10 O 0.5000 0.0203 0.0203 1
O11 O 0.5000 0.1531 0.1531 1
O12 O 0.5000 0.3030 0.3030 1
O13 O 0.5000 0.5963 0.5963 1
O14 O 0.5000 0.8593 0.8593 1
O15 O 0.7428 0.4879 0.9733 1
O16 O 0.7428 0.9733 0.4879 1
O17 O 0.7496 0.1818 0.6792 1
O18 O 0.7496 0.6792 0.1818 1
```

=====

Hg3H2Pd3: theoretical XRD peak list (a wavelength of 1.5418 Å), based on a GGA-PBE-relaxed structure.
Peak positions follow from Bragg's law for the DFT cell and can differ from measured ones.

Largest 8 diffraction maxima, sorted by position, 15° ≤ 2θ ≤ 90°:
d [Å], intensity
3.067, 15
2.965, 21
2.528, 13
2.417, 18
2.375, 100
2.347, 15
2.274, 18
2.132, 15

Cell and atoms:
```
data_Hg3H2Pd3
_cell_length_a 5.4117
_cell_length_b 5.4117
_cell_length_c 14.5013
_cell_angle_alpha 90.00
_cell_angle_beta 90.00
_cell_angle_gamma 144.56
_space_group_name_H-M_alt 'P 1'
_space_group_IT_number 1
loop_
_space_group_symop_operation_xyz
'x,y,z'
loop_
_atom_site_label
_atom_site_type_symbol
_atom_site_fract_x
_atom_site_fract_y
_atom_site_fract_z
_atom_site_occupancy
Hg1 Hg 0.0552 0.9448 0.6079 1
Hg2 Hg 0.0552 0.9448 0.8921 1
Hg3 Hg 0.3647 0.6353 0.7500 1
Hg4 Hg 0.6353 0.3647 0.2500 1
Hg5 Hg 0.9448 0.0552 0.1079 1
Hg6 Hg 0.9448 0.0552 0.3921 1
H1 H 0.2278 0.7722 0.0507 1
H2 H 0.2278 0.7722 0.4493 1
H3 H 0.7722 0.2278 0.5507 1
H4 H 0.7722 0.2278 0.9493 1
Pd1 Pd 0.3430 0.6570 0.5498 1
Pd2 Pd 0.3430 0.6570 0.9502 1
Pd3 Pd 0.3558 0.6442 0.2500 1
Pd4 Pd 0.6442 0.3558 0.7500 1
Pd5 Pd 0.6570 0.3430 0.0498 1
Pd6 Pd 0.6570 0.3430 0.4502 1
```

=====

TbLuBeCu: theoretical XRD peak list (a wavelength of 1.5418 Å), based on a GGA-PBE-relaxed structure.
Peak positions follow from Bragg's law for the DFT cell and can differ from measured ones.

Largest 8 diffraction maxima, sorted by position, 15° ≤ 2θ ≤ 90°:
d [Å], intensity
3.411, 49
2.412, 100
1.969, 15
1.705, 17
1.525, 20
1.392, 35
1.206, 11
1.137, 10

Cell and atoms:
```
data_TbLuBeCu
_cell_length_a 4.8237
_cell_length_b 4.8237
_cell_length_c 4.8237
_cell_angle_alpha 60.00
_cell_angle_beta 60.00
_cell_angle_gamma 60.00
_space_group_name_H-M_alt 'P 1'
_space_group_IT_number 1
loop_
_space_group_symop_operation_xyz
'x,y,z'
loop_
_atom_site_label
_atom_site_type_symbol
_atom_site_fract_x
_atom_site_fract_y
_atom_site_fract_z
_atom_site_occupancy
Tb1 Tb 0.0000 0.0000 0.0000 1
Lu1 Lu 0.5000 0.5000 0.5000 1
Be1 Be 0.7500 0.7500 0.7500 1
Cu1 Cu 0.2500 0.2500 0.2500 1
```

=====

PmDy6Ho5: theoretical XRD peak list (a wavelength of 1.5418 Å), based on a GGA-PBE-relaxed structure.
Peak positions follow from Bragg's law for the DFT cell and can differ from measured ones.

Largest 8 diffraction maxima, sorted by position, 15° ≤ 2θ ≤ 90°:
d [Å], intensity
2.891, 100
2.504, 51
1.770, 36
1.511, 14
1.509, 28
1.446, 12
1.149, 18
1.120, 17

Cell and atoms:
```
data_PmDy6Ho5
_cell_length_a 6.1317
_cell_length_b 6.1317
_cell_length_c 11.7423
_cell_angle_alpha 94.98
_cell_angle_beta 94.98
_cell_angle_gamma 119.96
_space_group_name_H-M_alt 'P 1'
_space_group_IT_number 1
loop_
_space_group_symop_operation_xyz
'x,y,z'
loop_
_atom_site_label
_atom_site_type_symbol
_atom_site_fract_x
_atom_site_fract_y
_atom_site_fract_z
_atom_site_occupancy
Pm1 Pm 0.0000 0.0000 0.0000 1
Dy1 Dy 0.0833 0.4171 0.2513 1
Dy2 Dy 0.2506 0.2506 0.7489 1
Dy3 Dy 0.4171 0.0833 0.2513 1
Dy4 Dy 0.5829 0.9167 0.7487 1
Dy5 Dy 0.7494 0.7494 0.2511 1
Dy6 Dy 0.9167 0.5829 0.7487 1
Ho1 Ho 0.1669 0.8331 0.5000 1
Ho2 Ho 0.3333 0.6667 0.0000 1
Ho3 Ho 0.5000 0.5000 0.5000 1
Ho4 Ho 0.6667 0.3333 0.0000 1
Ho5 Ho 0.8331 0.1669 0.5000 1
```

=====

HfInRuO6: theoretical XRD peak list (a wavelength of 1.5418 Å), based on a GGA-PBE-relaxed structure.
Peak positions follow from Bragg's law for the DFT cell and can differ from measured ones.

Largest 8 diffraction maxima, sorted by position, 15° ≤ 2θ ≤ 90°:
d [Å], intensity
3.417, 100
2.667, 82
2.416, 24
1.791, 66
1.708, 16
1.528, 16
1.448, 15
1.439, 19

Cell and atoms:
```
data_HfInRuO6
_cell_length_a 4.8322
_cell_length_b 4.8322
_cell_length_c 9.5952
_cell_angle_alpha 90.00
_cell_angle_beta 90.00
_cell_angle_gamma 90.00
_space_group_name_H-M_alt 'P 1'
_space_group_IT_number 1
loop_
_space_group_symop_operation_xyz
'x,y,z'
loop_
_atom_site_label
_atom_site_type_symbol
_atom_site_fract_x
_atom_site_fract_y
_atom_site_fract_z
_atom_site_occupancy
Hf1 Hf 0.0000 0.0000 0.0000 1
Hf2 Hf 0.5000 0.5000 0.5000 1
In1 In 0.0000 0.0000 0.3314 1
In2 In 0.5000 0.5000 0.8314 1
Ru1 Ru 0.0000 0.0000 0.6657 1
Ru2 Ru 0.5000 0.5000 0.1657 1
O1 O 0.1845 0.1845 0.8258 1
O2 O 0.1947 0.1947 0.5133 1
O3 O 0.2104 0.2104 0.1574 1
O4 O 0.2896 0.7104 0.6574 1
O5 O 0.3053 0.6947 0.0133 1
O6 O 0.3155 0.6845 0.3258 1
O7 O 0.6845 0.3155 0.3258 1
O8 O 0.6947 0.3053 0.0133 1
O9 O 0.7104 0.2896 0.6574 1
O10 O 0.7896 0.7896 0.1574 1
O11 O 0.8053 0.8053 0.5133 1
O12 O 0.8155 0.8155 0.8258 1
```